This entry pairs a crystal structure of NaAl2ZnP with its calculated XRD peak list. Radiation: CuKα. Structure: a cell relaxed with GGA-PBE.
Lines closer than 0.1° are merged.

a = 5.1492 Å, b = 5.1492 Å, c = 4.8065 Å
α = 90.00°, β = 90.00°, γ = 90.00°
Fractional positions:
Na1 0.0000 0.0000 0.0000
Al1 0.0000 0.5000 0.0000
Al2 0.5000 0.0000 0.0000
Zn1 0.0000 0.0000 0.5000
P1 0.5000 0.5000 0.5000

The 10 most intense peaks (5 to 70 degrees two-theta), in order of rising 2θ:
17.2°, I 47; 24.4°, I 27; 30.8°, I 100; 34.8°, I 67; 37.4°, I 27; 39.1°, I 13; 50.1°, I 23; 52.1°, I 40; 60.0°, I 28; 64.2°, I 21


This entry pairs a crystal structure of Cr3FeH2 with its calculated XRD peak list. Radiation: CuKα. Structure: a cell relaxed with GGA-PBE.
Lines closer than 0.1° are merged.

a = 5.2514 Å, b = 5.2514 Å, c = 8.6801 Å
α = 122.09°, β = 122.09°, γ = 31.24°
Fractional positions:
Cr1 0.1123 0.1123 0.1955
Cr2 0.3651 0.3651 0.5772
Cr3 0.3823 0.3823 0.0454
Cr4 0.6177 0.6177 0.9546
Cr5 0.6349 0.6349 0.4228
Cr6 0.8877 0.8877 0.8045
Fe1 0.1308 0.1308 0.7041
Fe2 0.8692 0.8692 0.2959
H1 0.0683 0.0683 0.4748
H2 0.2530 0.2530 0.1302
H3 0.7470 0.7470 0.8698
H4 0.9317 0.9317 0.5252

The 10 most intense peaks (5 to 70 degrees two-theta), in order of rising 2θ:
17.5°, I 3; 38.1°, I 8; 42.1°, I 46; 42.3°, I 100; 42.9°, I 50; 45.5°, I 86; 53.4°, I 3; 56.5°, I 17; 66.1°, I 13; 66.5°, I 11


This entry pairs a crystal structure of LiAc2Au2O2 with its calculated XRD peak list. Radiation: CuKα. Structure: a cell relaxed with GGA-PBE.
Lines closer than 0.1° are merged.

a = 4.1945 Å, b = 4.1945 Å, c = 12.7447 Å
α = 90.00°, β = 90.00°, γ = 120.00°
Fractional positions:
Li1 0.0000 0.0000 0.0000
Ac1 0.3333 0.6667 0.6253
Ac2 0.6667 0.3333 0.3747
Au1 0.0000 0.0000 0.2038
Au2 0.0000 0.0000 0.7962
O1 0.3333 0.6667 0.4282
O2 0.6667 0.3333 0.5718

The 10 most intense peaks (5 to 70 degrees two-theta), in order of rising 2θ:
6.9°, I 80; 13.9°, I 32; 25.5°, I 81; 28.3°, I 100; 32.4°, I 77; 35.2°, I 21; 37.5°, I 30; 43.1°, I 52; 52.4°, I 19; 56.9°, I 32


This entry pairs a crystal structure of U4Be2C5 with its calculated XRD peak list. Radiation: CuKα. Structure: a cell relaxed with GGA-PBE.
Lines closer than 0.1° are merged.

a = 6.6654 Å, b = 6.6654 Å, c = 4.9960 Å
α = 90.00°, β = 90.00°, γ = 135.70°
Fractional positions:
U1 0.1477 0.8523 0.0000
U2 0.3383 0.6617 0.5000
U3 0.6617 0.3383 0.5000
U4 0.8523 0.1477 0.0000
Be1 0.0000 0.0000 0.5000
Be2 0.5000 0.5000 0.0000
C1 0.1469 0.8531 0.5000
C2 0.3463 0.6537 0.0000
C3 0.5000 0.5000 0.5000
C4 0.6537 0.3463 0.0000
C5 0.8531 0.1469 0.5000

The 10 most intense peaks (5 to 70 degrees two-theta), in order of rising 2θ:
14.3°, I 26; 26.2°, I 61; 28.9°, I 23; 33.4°, I 100; 35.7°, I 28; 36.0°, I 28; 51.6°, I 20; 58.4°, I 15; 62.7°, I 18; 63.0°, I 19


This entry pairs a crystal structure of AcSm3Ag4 with its calculated XRD peak list. Radiation: CuKα. Structure: a cell relaxed with GGA-PBE.
Lines closer than 0.1° are merged.

a = 5.3602 Å, b = 5.3602 Å, c = 7.4946 Å
α = 90.00°, β = 90.00°, γ = 90.00°
Fractional positions:
Ac1 0.0000 0.0000 0.0000
Sm1 0.0000 0.0000 0.5000
Sm2 0.5000 0.5000 0.0000
Sm3 0.5000 0.5000 0.5000
Ag1 0.0000 0.5000 0.2674
Ag2 0.0000 0.5000 0.7326
Ag3 0.5000 0.0000 0.2674
Ag4 0.5000 0.0000 0.7326

The 10 most intense peaks (5 to 70 degrees two-theta), in order of rising 2θ:
23.5°, I 5; 23.7°, I 2; 26.4°, I 2; 33.4°, I 52; 33.6°, I 100; 41.4°, I 3; 48.0°, I 19; 48.6°, I 8; 59.9°, I 37; 60.3°, I 17


This entry pairs a crystal structure of BaAl2Se4 with its calculated XRD peak list. Radiation: CuKα. Structure: a cell relaxed with GGA-PBE.
Lines closer than 0.1° are merged.

a = 6.5706 Å, b = 6.5706 Å, c = 11.6094 Å
α = 90.00°, β = 90.00°, γ = 123.10°
Fractional positions:
Ba1 0.0000 0.0000 0.2500
Ba2 0.0000 0.0000 0.7500
Al1 0.2564 0.7419 0.0000
Al2 0.2581 0.7436 0.5000
Al3 0.7419 0.2564 0.5000
Al4 0.7436 0.2581 0.0000
Se1 0.0000 0.5000 0.1595
Se2 0.0000 0.5000 0.8405
Se3 0.1475 0.3285 0.5000
Se4 0.3285 0.1475 0.0000
Se5 0.5000 0.0000 0.3405
Se6 0.5000 0.0000 0.6595
Se7 0.6715 0.8525 0.0000
Se8 0.8525 0.6715 0.5000

The 10 most intense peaks (5 to 70 degrees two-theta), in order of rising 2θ:
16.1°, I 31; 22.3°, I 23; 28.2°, I 100; 31.3°, I 10; 32.5°, I 17; 34.6°, I 15; 34.7°, I 15; 36.1°, I 44; 50.3°, I 19; 53.5°, I 21


This entry pairs a crystal structure of Pm2Tm6Zr with its calculated XRD peak list. Radiation: CuKα. Structure: a cell relaxed with GGA-PBE.
Lines closer than 0.1° are merged.

a = 9.9813 Å, b = 9.9813 Å, c = 5.8557 Å
α = 96.65°, β = 96.65°, γ = 70.31°
Fractional positions:
Pm1 0.0711 0.2770 0.0637
Pm2 0.2770 0.0711 0.5637
Pm3 0.7230 0.9289 0.4363
Pm4 0.9289 0.7230 0.9363
Tm1 0.0839 0.8116 0.4839
Tm2 0.1536 0.4424 0.6405
Tm3 0.1884 0.9161 0.0161
Tm4 0.2871 0.5079 0.1899
Tm5 0.4424 0.1536 0.1405
Tm6 0.4921 0.7129 0.3101
Tm7 0.5079 0.2871 0.6899
Tm8 0.5576 0.8464 0.8595
Tm9 0.7129 0.4921 0.8101
Tm10 0.8116 0.0839 0.9839
Tm11 0.8464 0.5576 0.3595
Tm12 0.9161 0.1884 0.5161
Zr1 0.3728 0.6272 0.7500
Zr2 0.6272 0.3728 0.2500

The 10 most intense peaks (5 to 70 degrees two-theta), in order of rising 2θ:
30.7°, I 56; 31.1°, I 54; 31.6°, I 60; 32.7°, I 100; 38.0°, I 32; 38.7°, I 31; 50.5°, I 13; 53.2°, I 13; 56.4°, I 15; 56.9°, I 17


This entry pairs a crystal structure of Mg2IrCl8 with its calculated XRD peak list. Radiation: CuKα. Structure: a cell relaxed with GGA-PBE.
Lines closer than 0.1° are merged.

a = 7.0980 Å, b = 7.0980 Å, c = 6.4434 Å
α = 90.00°, β = 90.00°, γ = 120.00°
Fractional positions:
Mg1 0.3333 0.6667 0.0434
Mg2 0.6667 0.3333 0.9566
Ir1 0.0000 0.0000 0.0000
Cl1 0.1551 0.3101 0.2144
Cl2 0.1551 0.8449 0.2144
Cl3 0.3101 0.1551 0.7856
Cl4 0.3333 0.6667 0.6925
Cl5 0.6667 0.3333 0.3075
Cl6 0.6899 0.8449 0.2144
Cl7 0.8449 0.1551 0.7856
Cl8 0.8449 0.6899 0.7856

The 10 most intense peaks (5 to 70 degrees two-theta), in order of rising 2θ:
13.7°, I 77; 14.4°, I 95; 20.0°, I 100; 25.1°, I 48; 28.7°, I 45; 32.3°, I 64; 37.7°, I 32; 40.6°, I 37; 41.3°, I 28; 51.5°, I 27


This entry pairs a crystal structure of Li3Mn with its calculated XRD peak list. Radiation: CuKα. Structure: a cell relaxed with GGA-PBE.
Lines closer than 0.1° are merged.

a = 5.8271 Å, b = 5.8271 Å, c = 9.4971 Å
α = 90.00°, β = 90.00°, γ = 120.00°
Fractional positions:
Li1 0.0000 0.5000 0.0000
Li2 0.0000 0.5000 0.5000
Li3 0.1619 0.3238 0.2500
Li4 0.1619 0.8381 0.2500
Li5 0.3238 0.1619 0.7500
Li6 0.5000 0.0000 0.0000
Li7 0.5000 0.0000 0.5000
Li8 0.5000 0.5000 0.0000
Li9 0.5000 0.5000 0.5000
Li10 0.6762 0.8381 0.2500
Li11 0.8381 0.1619 0.7500
Li12 0.8381 0.6762 0.7500
Mn1 0.0000 0.0000 0.0000
Mn2 0.0000 0.0000 0.5000
Mn3 0.3333 0.6667 0.7500
Mn4 0.6667 0.3333 0.2500

The 10 most intense peaks (5 to 70 degrees two-theta), in order of rising 2θ:
17.6°, I 15; 19.9°, I 65; 25.8°, I 100; 30.7°, I 57; 33.4°, I 17; 36.9°, I 25; 37.9°, I 20; 40.5°, I 57; 49.5°, I 27; 51.6°, I 27


This entry pairs a crystal structure of PuTh2InC with its calculated XRD peak list. Radiation: CuKα. Structure: a cell relaxed with GGA-PBE.
Lines closer than 0.1° are merged.

a = 5.1086 Å, b = 5.1086 Å, c = 4.8290 Å
α = 90.00°, β = 90.00°, γ = 90.00°
Fractional positions:
Pu1 0.0000 0.0000 0.0000
Th1 0.0000 0.5000 0.5000
Th2 0.5000 0.0000 0.5000
In1 0.5000 0.5000 0.0000
C1 0.0000 0.0000 0.5000

The 10 most intense peaks (5 to 70 degrees two-theta), in order of rising 2θ:
17.4°, I 5; 25.4°, I 3; 30.9°, I 100; 35.1°, I 38; 37.2°, I 16; 50.5°, I 14; 52.1°, I 25; 60.4°, I 31; 63.2°, I 14; 64.4°, I 13


This entry pairs a crystal structure of Ag6AuS4 with its calculated XRD peak list. Radiation: CuKα. Structure: a cell relaxed with GGA-PBE.
Lines closer than 0.1° are merged.

a = 6.1772 Å, b = 6.1772 Å, c = 7.3444 Å
α = 113.18°, β = 113.18°, γ = 92.69°
Fractional positions:
Ag1 0.0000 0.0000 0.0000
Ag2 0.3321 0.6893 0.6641
Ag3 0.3341 0.3341 0.9976
Ag4 0.5032 0.8719 0.2507
Ag5 0.6893 0.3321 0.6641
Ag6 0.8719 0.5032 0.2507
Au1 0.0265 0.0265 0.5330
S1 0.0486 0.5823 0.0198
S2 0.2458 0.2458 0.4339
S3 0.5823 0.0486 0.0198
S4 0.7668 0.7668 0.5668

The 10 most intense peaks (5 to 70 degrees two-theta), in order of rising 2θ:
25.7°, I 56; 26.6°, I 37; 32.7°, I 100; 34.0°, I 27; 35.9°, I 53; 36.3°, I 34; 39.0°, I 25; 40.0°, I 34; 44.8°, I 29; 49.9°, I 24


This entry pairs a crystal structure of Ce5Ge2Rh with its calculated XRD peak list. Radiation: CuKα. Structure: a cell relaxed with GGA-PBE.
Lines closer than 0.1° are merged.

a = 7.6252 Å, b = 11.7587 Å, c = 4.5093 Å
α = 90.00°, β = 90.00°, γ = 90.00°
Fractional positions:
Ce1 0.0000 0.0000 0.0000
Ce2 0.1415 0.2870 0.0000
Ce3 0.2137 0.5646 0.5000
Ce4 0.2863 0.0646 0.5000
Ce5 0.3585 0.7870 0.0000
Ce6 0.5000 0.5000 0.0000
Ce7 0.6415 0.2130 0.0000
Ce8 0.7137 0.9354 0.5000
Ce9 0.7863 0.4354 0.5000
Ce10 0.8585 0.7130 0.0000
Ge1 0.0838 0.8261 0.5000
Ge2 0.4162 0.3261 0.5000
Ge3 0.5838 0.6739 0.5000
Ge4 0.9162 0.1739 0.5000
Rh1 0.0000 0.5000 0.0000
Rh2 0.5000 0.0000 0.0000

The 10 most intense peaks (5 to 70 degrees two-theta), in order of rising 2θ:
27.5°, I 37; 30.7°, I 34; 31.7°, I 88; 32.5°, I 39; 32.6°, I 58; 34.4°, I 100; 36.5°, I 37; 40.0°, I 57; 50.3°, I 26; 52.5°, I 45


This entry pairs a crystal structure of K3CdAg8 with its calculated XRD peak list. Radiation: CuKα. Structure: a cell relaxed with GGA-PBE.
Lines closer than 0.1° are merged.

a = 10.1207 Å, b = 10.1207 Å, c = 10.1207 Å
α = 33.54°, β = 33.54°, γ = 33.54°
Fractional positions:
K1 0.0000 0.0000 0.0000
K2 0.1266 0.1266 0.1266
K3 0.5041 0.5041 0.5041
Cd1 0.6298 0.6298 0.6298
Ag1 0.0567 0.5629 0.5629
Ag2 0.0654 0.0654 0.5677
Ag3 0.0654 0.5677 0.0654
Ag4 0.3133 0.3133 0.3133
Ag5 0.5629 0.0567 0.5629
Ag6 0.5629 0.5629 0.0567
Ag7 0.5677 0.0654 0.0654
Ag8 0.8138 0.8138 0.8138

The 10 most intense peaks (5 to 70 degrees two-theta), in order of rising 2θ:
9.3°, I 6; 18.6°, I 37; 30.6°, I 11; 36.1°, I 100; 37.7°, I 62; 43.8°, I 16; 48.0°, I 9; 58.0°, I 30; 63.7°, I 28; 67.0°, I 7